Entry 1:
Structure and calculated powder XRD pattern of Ac3Cd11 (a GGA-PBE-relaxed structure; λ = 1.5418 Å (Cu Kα)).
Lines closer than 0.1° are merged.

Atomic structure:
```
14
Lattice="-2.548 5.015 7.382 2.548 -5.015 7.382 2.548 5.015 -7.382" Properties=species:S:1:pos:R:3 pbc="T T T"
Ac 0.000 0.000 0.000
Ac 0.000 0.000 4.335
Ac 0.000 0.000 10.429
Cd 2.548 -1.419 2.309
Cd 2.548 -2.171 5.304
Cd 2.548 1.419 2.309
Cd 2.548 3.253 0.000
Cd 0.000 2.845 2.078
Cd 0.000 5.015 0.000
Cd 2.548 2.171 5.304
Cd 0.000 1.763 7.382
Cd 0.000 3.596 5.073
Cd 0.000 7.186 2.078
Cd 0.000 6.434 5.073
```

Largest 10 diffraction maxima, sorted by position, 5° ≤ 2θ ≤ 70°:
2theta	Rel. int.
30.1	34
30.9	100
31.2	42
32.0	40
32.4	26
34.3	33
35.2	66
36.5	23
40.5	29
60.1	28

=====

Entry 2:
Structure and calculated powder XRD pattern of AcCd12 (a GGA-PBE-relaxed structure; λ = 1.5418 Å (Cu Kα)).
Lines closer than 0.1° are merged.

Atomic structure:
```
13
Lattice="-5.037 5.037 3.036 5.037 -5.037 3.036 5.037 5.037 -3.036" Properties=species:S:1:pos:R:3 pbc="T T T"
Ac 0.000 0.000 0.000
Cd 2.519 2.519 -1.518
Cd 3.565 0.000 0.000
Cd 2.519 -2.519 1.518
Cd 6.509 0.000 0.000
Cd 5.037 2.860 0.000
Cd 0.000 3.565 0.000
Cd -2.519 2.519 1.518
Cd 2.860 5.037 0.000
Cd 2.519 2.519 1.518
Cd 2.177 0.000 3.036
Cd 0.000 6.509 0.000
Cd 0.000 2.177 3.036
```

Largest 10 diffraction maxima, sorted by position, 5° ≤ 2θ ≤ 70°:
2theta	Rel. int.
29.4	18
30.4	47
34.5	78
35.4	100
35.6	56
39.0	44
40.0	21
56.1	26
63.3	26
63.8	21

=====

Entry 3:
Structure and calculated powder XRD pattern of Ac2Cd3 (a GGA-PBE-relaxed structure; λ = 1.5418 Å (Cu Kα)).
Lines closer than 0.1° are merged.

Atomic structure:
```
10
Lattice="1.973 -15.507 0.000 1.973 15.507 0.000 0.000 0.000 5.169" Properties=species:S:1:pos:R:3 pbc="T T T"
Ac 1.973 13.267 3.877
Ac 1.973 8.963 1.292
Ac 1.973 -8.963 3.877
Ac 1.973 -13.267 1.292
Cd 1.973 5.302 1.292
Cd 1.973 3.670 3.877
Cd 1.973 0.721 3.877
Cd 1.973 -0.721 1.292
Cd 1.973 -3.670 1.292
Cd 1.973 -5.302 3.877
```

Largest 10 diffraction maxima, sorted by position, 5° ≤ 2θ ≤ 70°:
2theta	Rel. int.
20.7	18
29.8	100
30.3	60
33.7	62
34.7	37
46.0	17
46.8	37
58.2	25
58.9	16
59.2	15

=====

Entry 4:
Structure and calculated powder XRD pattern of Ac2CeCd6 (a GGA-PBE-relaxed structure; λ = 1.5418 Å (Cu Kα)).
Lines closer than 0.1° are merged.

Atomic structure:
```
9
Lattice="8.970 0.000 0.000 -4.485 7.768 0.000 0.000 0.000 3.643" Properties=species:S:1:pos:R:3 pbc="T T T"
Ac 0.000 5.179 0.000
Ac 4.485 2.589 0.000
Ce 0.000 0.000 0.000
Cd -1.472 2.549 1.821
Cd -3.014 5.220 1.821
Cd 2.943 0.000 1.821
Cd 1.472 2.549 1.821
Cd 6.027 0.000 1.821
Cd 3.014 5.220 1.821
```

Largest 10 diffraction maxima, sorted by position, 5° ≤ 2θ ≤ 70°:
2theta	Rel. int.
11.4	3
19.8	10
31.6	100
34.6	74
40.2	2
47.6	32
50.1	9
60.2	32
62.1	13
62.3	26

=====

Entry 5:
Structure and calculated powder XRD pattern of Ac7Cd2Co2 (a GGA-PBE-relaxed structure; λ = 1.5418 Å (Cu Kα)).
Lines closer than 0.1° are merged.

Atomic structure:
```
11
Lattice="-1.986 8.732 5.442 1.986 -8.732 5.442 1.986 8.732 -5.442" Properties=species:S:1:pos:R:3 pbc="T T T"
Ac 0.000 0.000 0.000
Ac 1.986 6.311 -0.861
Ac 1.986 3.232 1.269
Ac 0.000 2.421 4.580
Ac 0.000 6.139 3.022
Ac 0.000 11.325 3.022
Ac 0.000 5.500 6.711
Cd 1.986 0.000 2.866
Cd 0.000 0.000 7.182
Co 1.986 -4.675 4.621
Co 1.986 4.675 4.621
```

Largest 10 diffraction maxima, sorted by position, 5° ≤ 2θ ≤ 70°:
2theta	Rel. int.
26.8	26
28.3	52
29.0	100
30.7	33
31.5	92
31.9	49
45.7	26
46.1	35
55.0	48
56.1	25

=====

Entry 6:
Structure and calculated powder XRD pattern of Ac19Cd4Co6 (a GGA-PBE-relaxed structure; λ = 1.5418 Å (Cu Kα)).
Lines closer than 0.1° are merged.

Atomic structure:
```
29
Lattice="-6.367 6.367 6.367 6.367 -6.367 6.367 6.367 6.367 -6.367" Properties=species:S:1:pos:R:3 pbc="T T T"
Ac 0.000 0.000 0.000
Ac 4.513 0.000 0.000
Ac 8.220 0.000 0.000
Ac 7.045 2.679 -2.516
Ac 3.851 -0.678 3.688
Ac 3.688 3.851 -0.678
Ac 8.883 0.678 3.688
Ac 0.000 4.513 0.000
Ac 0.000 0.000 4.513
Ac 2.679 -2.516 7.045
Ac 5.688 2.679 2.516
Ac -0.678 3.688 3.851
Ac 2.679 2.516 5.688
Ac 0.000 8.220 0.000
Ac 0.000 0.000 8.220
Ac 2.516 5.688 2.679
Ac 3.688 8.883 0.678
Ac -2.516 7.045 2.679
Ac 0.678 3.688 8.883
Cd 4.305 4.305 -4.305
Cd 4.305 -4.305 4.305
Cd 2.061 2.061 2.061
Cd -4.305 4.305 4.305
Co 6.367 0.000 2.365
Co 6.367 4.001 0.000
Co 2.365 6.367 0.000
Co 4.001 0.000 6.367
Co 0.000 2.365 6.367
Co 0.000 6.367 4.001
```

Largest 10 diffraction maxima, sorted by position, 5° ≤ 2θ ≤ 70°:
2theta	Rel. int.
22.1	16
26.2	16
28.0	9
29.8	100
33.0	9
42.6	11
48.5	8
50.7	9
52.8	26
58.9	9

=====

Entry 7:
Structure and calculated powder XRD pattern of Ac12Cd2Co5 (a GGA-PBE-relaxed structure; λ = 1.5418 Å (Cu Kα)).
Lines closer than 0.1° are merged.

Atomic structure:
```
19
Lattice="8.436 -3.983 0.000 8.436 3.983 0.000 -3.314 0.000 9.716" Properties=species:S:1:pos:R:3 pbc="T T T"
Ac 3.867 1.995 3.282
Ac 0.197 0.000 3.095
Ac 6.254 1.952 0.295
Ac 7.304 1.952 9.421
Ac 4.489 0.000 6.953
Ac 9.691 1.995 6.434
Ac 3.867 -1.995 3.282
Ac 9.069 0.000 2.763
Ac 6.254 -1.952 0.295
Ac 7.304 -1.952 9.421
Ac 13.361 0.000 6.621
Ac 9.691 -1.995 6.434
Cd 6.779 1.582 4.858
Cd 6.779 -1.582 4.858
Co 2.418 0.000 4.757
Co 1.295 0.000 8.629
Co 8.436 0.000 0.000
Co 12.263 0.000 1.087
Co 11.140 0.000 4.959
```

Largest 10 diffraction maxima, sorted by position, 5° ≤ 2θ ≤ 70°:
2theta	Rel. int.
23.8	39
25.3	38
26.7	100
27.5	57
27.9	71
28.9	58
30.9	44
32.9	51
34.6	43
48.3	45

=====

Entry 8:
Structure and calculated powder XRD pattern of Ac12CdCo5 (a GGA-PBE-relaxed structure; λ = 1.5418 Å (Cu Kα)).
Lines closer than 0.1° are merged.

Atomic structure:
```
18
Lattice="-5.229 5.305 5.324 5.229 -5.305 5.324 5.229 5.305 -5.324" Properties=species:S:1:pos:R:3 pbc="T T T"
Ac 5.229 3.326 -3.295
Ac 3.227 1.953 0.000
Ac 7.230 1.953 0.000
Ac 1.949 5.305 -1.923
Ac 3.279 0.000 3.401
Ac 0.000 1.980 2.029
Ac 5.229 3.326 3.295
Ac 1.949 5.305 1.923
Ac 3.279 0.000 7.247
Ac -2.001 3.352 5.324
Ac 2.001 3.352 5.324
Ac 0.000 1.980 8.619
Cd 0.000 0.000 5.324
Co 0.000 0.000 0.000
Co 5.229 0.000 1.165
Co 0.000 4.061 0.000
Co 0.000 6.550 0.000
Co 0.000 5.305 4.159
```

Largest 10 diffraction maxima, sorted by position, 5° ≤ 2θ ≤ 70°:
2theta	Rel. int.
26.5	100
26.9	61
29.3	86
31.5	64
31.6	74
31.8	52
50.0	30
50.3	27
53.3	27
53.7	34

=====

Entry 9:
Structure and calculated powder XRD pattern of Ac9CdCo3 (a GGA-PBE-relaxed structure; λ = 1.5418 Å (Cu Kα)).
Lines closer than 0.1° are merged.

Atomic structure:
```
26
Lattice="7.307 0.000 0.000 0.000 11.135 0.000 -1.253 0.000 11.988" Properties=species:S:1:pos:R:3 pbc="T T T"
Ac 0.187 2.784 2.343
Ac 0.703 6.329 4.497
Ac 0.703 10.374 4.497
Ac 0.312 2.784 10.186
Ac 1.772 6.139 0.522
Ac 1.772 10.564 0.522
Ac 1.673 6.254 8.386
Ac 1.673 10.449 8.386
Ac 1.966 2.784 6.266
Ac 4.088 8.351 5.722
Ac 4.381 0.686 3.602
Ac 4.381 4.881 3.602
Ac 4.282 0.571 11.466
Ac 4.282 4.996 11.466
Ac 5.743 8.351 1.801
Ac 5.351 0.761 7.491
Ac 5.351 4.806 7.491
Ac 5.867 8.351 9.645
Cd 3.375 2.784 1.095
Cd 2.679 8.351 10.892
Co -0.639 0.061 9.910
Co -0.639 5.506 9.910
Co 3.027 0.000 5.994
Co 3.027 5.567 5.994
Co 6.693 5.629 2.077
Co 6.693 11.074 2.077
```

Largest 10 diffraction maxima, sorted by position, 5° ≤ 2θ ≤ 70°:
2theta	Rel. int.
27.0	100
27.3	29
27.5	78
27.8	36
28.5	29
29.2	21
42.0	30
46.0	27
49.1	26
52.0	22

=====

Entry 10:
Structure and calculated powder XRD pattern of AcCdCoH6 (a GGA-PBE-relaxed structure; λ = 1.5418 Å (Cu Kα)).
Lines closer than 0.1° are merged.

Atomic structure:
```
9
Lattice="4.746 0.000 0.000 -2.373 4.111 0.000 0.000 0.000 4.689" Properties=species:S:1:pos:R:3 pbc="T T T"
Ac 0.000 0.000 0.000
Cd 0.000 2.740 2.344
Co 2.373 1.370 2.344
H 2.373 0.246 1.170
H 2.373 0.246 3.519
H 1.400 1.932 1.170
H 1.400 1.932 3.519
H 3.347 1.932 1.170
H 3.347 1.932 3.519
```

Largest 10 diffraction maxima, sorted by position, 5° ≤ 2θ ≤ 70°:
2theta	Rel. int.
21.6	18
28.9	100
37.9	39
38.4	12
44.5	7
48.4	24
55.1	27
63.0	22
63.7	11
68.5	7

=====

Entry 11:
Structure and calculated powder XRD pattern of CsAcCdSe3 (a GGA-PBE-relaxed structure; λ = 1.5418 Å (Cu Kα)).
Lines closer than 0.1° are merged.

Atomic structure:
```
12
Lattice="9.965 0.000 0.000 0.000 4.572 0.000 -3.056 0.000 10.273" Properties=species:S:1:pos:R:3 pbc="T T T"
Cs 1.311 1.143 2.374
Cs 5.598 3.429 7.899
Ac 0.702 3.429 8.769
Ac 6.207 1.143 1.504
Cd -1.034 1.143 6.254
Cd 7.943 3.429 4.019
Se -1.460 1.143 8.848
Se 0.315 3.429 5.489
Se 4.118 3.429 1.550
Se 2.791 1.143 8.723
Se 6.594 1.143 4.784
Se 8.369 3.429 1.425
```

Largest 10 diffraction maxima, sorted by position, 5° ≤ 2θ ≤ 70°:
2theta	Rel. int.
10.7	100
21.5	21
26.0	35
26.7	75
27.0	59
30.1	23
31.8	25
39.4	29
40.0	34
42.3	27

=====

Entry 12:
Structure and calculated powder XRD pattern of Ac2Cd5Cu4 (a GGA-PBE-relaxed structure; λ = 1.5418 Å (Cu Kα)).
Lines closer than 0.1° are merged.

Atomic structure:
```
11
Lattice="6.608 -2.952 0.000 6.608 2.952 0.000 -5.081 0.000 6.521" Properties=species:S:1:pos:R:3 pbc="T T T"
Ac 2.019 0.000 1.101
Ac 6.114 0.000 5.420
Cd 2.793 1.493 4.253
Cd 5.340 1.493 2.267
Cd 6.608 0.000 0.000
Cd 2.793 -1.493 4.253
Cd 5.340 -1.493 2.267
Cu -1.659 0.000 4.790
Cu 0.561 0.000 3.914
Cu 7.573 0.000 2.606
Cu 9.793 0.000 1.731
```

Largest 10 diffraction maxima, sorted by position, 5° ≤ 2θ ≤ 70°:
2theta	Rel. int.
25.3	84
27.7	75
29.8	37
33.3	35
33.5	81
34.9	100
36.9	64
37.4	69
40.2	47
54.9	33

=====

What is the formula in the sixth record?
Ac19Cd4Co6